# 1
For PaAlAgO6, a structure optimized by DFT (PBE) gives the simulated powder diffractogram in this record (copper Kα).
No peak broadening, texture or thermal motion is included.

Peak list (10 most intense, 15° ≤ 2θ ≤ 90°, by intensity)
hkl  Position (°2θ)  I/Imax
1 0 1  27.30  100
2 -1 2  52.11  30
1 0 0  19.91  30
1 1 0  34.86  29
2 0 1  44.83  26
3 -1 1  58.01  25
1 0 2  42.80  11
1 0 3  61.60  10
3 0 0  62.50  10
3 1 1  80.16  10

Atomic structure:
Lattice parameters (Å, degrees): 5.1480 5.1480 4.7985 90.00 90.00 120.00
Space group P312 (No. 149)
Symmetry-distinct sites (fractional):
Pa 0.0000 0.0000 0.0000 [1 per cell]
Al 0.6667 0.3333 0.5000 [1 per cell]
Ag 0.3333 0.6667 0.5000 [1 per cell]
O 0.3591 0.0288 0.7298 [6 per cell]

# 2
For K3H4Se4, a structure optimized by DFT (PBE) gives the simulated powder diffractogram in this record (copper Kα).
No peak broadening, texture or thermal motion is included.

Peak list (10 most intense, 15° ≤ 2θ ≤ 90°, by intensity)
hkl  Position (°2θ)  I/Imax
0 0 4  29.86  100
1 1 -3  31.61  59
1 1 0  26.30  44
0 1 -1  18.55  35
2 0 0  38.18  32
1 1 1  28.57  32
1 -1 3  34.54  32
1 0 -2  22.53  30
0 0 3  22.29  29
1 -1 0  25.87  28

Atomic structure:
Lattice parameters (Å, degrees): 4.751 4.991 12.139 96.77 97.00 90.08
Space group P1 (No. 1)
Symmetry-distinct sites (fractional):
K 0.000 0.000 0.000 [1 per cell]
K 0.006 0.871 0.584 [1 per cell]
K 0.601 0.321 0.303 [1 per cell]
H 0.258 0.419 0.744 [1 per cell]
H 0.341 0.609 0.115 [1 per cell]
H 0.697 0.392 0.666 [1 per cell]
H 0.869 0.718 0.185 [1 per cell]
Se 0.035 0.451 0.823 [1 per cell]
Se 0.089 0.822 0.280 [1 per cell]
Se 0.486 0.363 0.562 [1 per cell]
Se 0.509 0.500 0.021 [1 per cell]

# 3
For Ho4InNi2Ge4, a structure optimized by DFT (PBE) gives the simulated powder diffractogram in this record (copper Kα).
No peak broadening, texture or thermal motion is included.

Peak list (10 most intense, 15° ≤ 2θ ≤ 90°, by intensity)
hkl  Position (°2θ)  I/Imax
3 1 -2  34.56  100
3 1 1  33.52  72
1 1 2  36.36  52
0 2 0  42.69  52
5 1 -1  36.14  36
5 1 0  37.31  34
3 1 0  27.88  28
6 0 -1  34.83  27
0 0 3  40.65  22
2 0 2  32.93  22

Atomic structure:
Lattice parameters (Å, degrees): 15.471 4.236 7.030 90.00 108.71 90.00
Space group C2/m (No. 12)
Symmetry-distinct sites (fractional):
Ho 0.092 0.000 0.392 [4 per cell]
Ho 0.156 0.000 0.938 [4 per cell]
In 0.000 0.500 0.000 [2 per cell]
Ni 0.216 0.500 0.650 [4 per cell]
Ge 0.065 0.500 0.664 [4 per cell]
Ge 0.204 0.500 0.275 [4 per cell]

# 4
For LaSm6Cd5, a structure optimized by DFT (PBE) gives the simulated powder diffractogram in this record (copper Kα).
No peak broadening, texture or thermal motion is included.

Peak list (10 most intense, 15° ≤ 2θ ≤ 90°, by intensity)
hkl  Position (°2θ)  I/Imax
1 2 3  32.63  100
2 0 0  33.17  25
0 0 6  32.94  24
3 2 3  58.92  18
2 0 6  47.45  17
1 2 9  58.62  17
3 2 9  78.78  10
2 4 6  68.37  10
2 4 0  58.04  9
0 4 0  46.18  9

Atomic structure:
Lattice parameters (Å, degrees): 5.401 7.862 16.316 90.00 90.00 90.00
Space group Immm (No. 71)
Symmetry-distinct sites (fractional):
La 0.000 0.000 0.000 [2 per cell]
Sm 0.000 0.225 0.500 [4 per cell]
Sm 0.000 0.260 0.173 [8 per cell]
Cd 0.000 0.000 0.330 [4 per cell]
Cd 0.000 0.500 0.000 [2 per cell]
Cd 0.000 0.500 0.344 [4 per cell]

# 5
For SmTeI, a structure optimized by DFT (PBE) gives the simulated powder diffractogram in this record (copper Kα).
No peak broadening, texture or thermal motion is included.

Peak list (10 most intense, 15° ≤ 2θ ≤ 90°, by intensity)
hkl  Position (°2θ)  I/Imax
1 0 2  27.31  100
1 2 2  39.98  72
0 2 0  28.63  46
0 0 4  37.49  37
0 1 1  16.96  35
2 2 0  50.32  19
0 2 4  47.84  19
2 0 0  40.47  19
1 4 2  66.45  16
2 2 4  64.41  16

Atomic structure:
Lattice parameters (Å, degrees): 4.457 6.237 9.596 90.00 90.00 90.00
Space group Pmmn (No. 59, origin choice 2)
Symmetry-distinct sites (fractional):
Sm 0.250 0.250 0.127 [2 per cell]
Te 0.250 0.750 0.105 [2 per cell]
I 0.250 0.750 0.646 [2 per cell]

# 6
For MnAu, a structure optimized by DFT (PBE) gives the simulated powder diffractogram in this record (copper Kα).
No peak broadening, texture or thermal motion is included.

Peak list (10 most intense, 15° ≤ 2θ ≤ 90°, by intensity)
hkl  Position (°2θ)  I/Imax
1 0 1  39.76  100
1 1 0  39.41  51
1 0 0  27.59  40
2 1 1  71.71  35
0 0 1  28.06  19
1 1 1  49.08  18
2 0 0  56.97  17
1 1 2  72.40  17
2 0 2  85.70  11
2 1 0  64.44  8

Atomic structure:
Lattice parameters (Å, degrees): 3.233 3.233 3.180 90.00 90.00 90.00
Space group P4/mmm (No. 123)
Symmetry-distinct sites (fractional):
Mn 0.000 0.000 0.000 [1 per cell]
Au 0.500 0.500 0.500 [1 per cell]

What did the sixth record say?
For MnAu, a structure optimized by DFT (PBE) gives the simulated powder diffractogram in this record (copper Kα).
No peak broadening, texture or thermal motion is included.

Peak list (10 most intense, 15° ≤ 2θ ≤ 90°, by intensity)
hkl  Position (°2θ)  I/Imax
1 0 1  39.76  100
1 1 0  39.41  51
1 0 0  27.59  40
2 1 1  71.71  35
0 0 1  28.06  19
1 1 1  49.08  18
2 0 0  56.97  17
1 1 2  72.40  17
2 0 2  85.70  11
2 1 0  64.44  8

Atomic structure:
Lattice parameters (Å, degrees): 3.233 3.233 3.180 90.00 90.00 90.00
Space group P4/mmm (No. 123)
Symmetry-distinct sites (fractional):
Mn 0.000 0.000 0.000 [1 per cell]
Au 0.500 0.500 0.500 [1 per cell]

Number 4 is which compound?
LaSm6Cd5